For Ir2PtO8, a crystal structure in Alexandria, relaxed with GGA-PBE gives the computed PXRD pattern in this record (Cu Kα (weighted mean of Kα1 and Kα2)).

Cell and atoms:
```
Ir2PtO8
1.0
5.712 0.000 0.000
-2.856 4.947 0.000
0.000 0.000 7.045
Ir Pt O
2 1 8
Cartesian
0.000 3.298 1.987
2.856 1.649 5.058
0.000 0.000 0.000
0.000 1.589 1.357
-1.480 4.152 1.357
1.376 0.794 5.688
0.000 3.298 3.743
2.856 1.649 3.302
1.480 4.152 1.357
4.336 0.794 5.688
2.856 3.358 5.688
```

Largest 8 diffraction maxima, by angle, 5 to 70 degrees two-theta:
2theta  I (rel.)
21.96  100
31.17  28
31.32  37
38.58  14
44.78  15
50.31  10
50.51  22
55.69  19

***

For IrPtO4, a crystal structure in Alexandria, relaxed with GGA-PBE gives the computed PXRD pattern in this record (Cu Kα (weighted mean of Kα1 and Kα2)).

Cell and atoms:
```
IrPtO4
1.0
-3.235 3.235 3.210
3.235 -3.235 3.210
3.235 3.235 -3.210
Ir Pt O
2 2 8
Cartesian
0.000 0.000 0.000
0.000 3.235 1.605
3.235 0.000 1.621
0.000 0.000 3.226
3.235 1.224 -0.006
2.011 3.235 -1.611
1.224 0.000 1.599
0.000 1.975 0.030
0.000 4.495 0.030
1.975 3.235 1.635
1.260 0.000 4.845
0.000 2.011 3.204
```

Largest 8 diffraction maxima, by angle, 5 to 70 degrees two-theta:
2theta  I (rel.)
27.57  100
34.12  97
39.39  29
53.08  69
56.93  15
64.40  17
64.85  18
68.07  19

***

For Rb3Ir2O8, a crystal structure in Alexandria, relaxed with GGA-PBE gives the computed PXRD pattern in this record (Cu Kα (weighted mean of Kα1 and Kα2)).

Cell and atoms:
```
Rb3Ir2O8
1.0
3.146 1.816 7.636
-3.146 1.816 7.636
0.000 -3.633 7.636
Rb Ir O
3 2 8
Cartesian
0.000 0.000 0.000
0.000 0.000 4.605
0.000 0.000 18.305
0.000 0.000 9.274
0.000 0.000 13.635
-1.471 -0.849 12.989
0.000 -1.699 9.921
-1.471 0.849 9.921
0.000 0.000 7.473
0.000 0.000 15.436
1.471 -0.849 12.989
0.000 1.699 12.989
1.471 0.849 9.921
```

Largest 8 diffraction maxima, by angle, 5 to 70 degrees two-theta:
2theta  I (rel.)
16.72  30
25.40  100
28.37  86
38.44  41
42.82  27
48.46  33
50.23  18
60.44  21

***

For Rb3IrO6, a crystal structure in Alexandria, relaxed with GGA-PBE gives the computed PXRD pattern in this record (Cu Kα (weighted mean of Kα1 and Kα2)).

Cell and atoms:
```
Rb3IrO6
1.0
6.434 0.000 0.000
0.000 6.434 0.000
0.000 0.000 9.374
Rb Ir O
6 2 12
Cartesian
0.000 0.000 0.000
0.000 3.217 2.343
0.000 3.217 7.030
3.217 0.000 2.343
3.217 0.000 7.030
3.217 3.217 4.687
0.000 0.000 4.687
3.217 3.217 0.000
0.000 0.000 2.806
0.000 0.000 6.568
0.900 1.639 4.687
1.578 2.317 0.000
1.639 5.534 4.687
2.317 4.856 0.000
3.217 3.217 1.881
3.217 3.217 7.493
4.117 1.578 0.000
4.795 0.900 4.687
4.856 4.117 0.000
5.534 4.795 4.687
```

Largest 8 diffraction maxima, by angle, 5 to 70 degrees two-theta:
2theta  I (rel.)
16.71  33
27.32  100
27.73  54
38.41  16
39.62  26
48.03  22
48.80  42
56.37  16

***

For RbIr2O8, a crystal structure in Alexandria, relaxed with GGA-PBE gives the computed PXRD pattern in this record (Cu Kα (weighted mean of Kα1 and Kα2)).

Cell and atoms:
```
RbIr2O8
1.0
4.732 0.000 0.000
0.000 4.732 0.000
0.000 0.000 7.250
Rb Ir O
1 2 8
Cartesian
0.000 0.000 0.000
0.000 2.366 3.625
2.366 0.000 3.625
1.185 1.185 2.445
1.185 1.185 4.806
1.185 3.548 2.445
1.185 3.548 4.806
3.548 1.185 2.445
3.548 1.185 4.806
3.548 3.548 2.445
3.548 3.548 4.806
```

Largest 8 diffraction maxima, by angle, 5 to 70 degrees two-theta:
2theta  I (rel.)
12.21  100
24.56  24
26.64  21
29.40  83
36.54  18
45.79  31
46.34  24
63.47  19

***

For Rb4IrO4, a crystal structure in Alexandria, relaxed with GGA-PBE gives the computed PXRD pattern in this record (Cu Kα (weighted mean of Kα1 and Kα2)).

Cell and atoms:
```
Rb4IrO4
1.0
-4.201 4.201 2.842
4.201 -4.201 2.842
4.201 4.201 -2.842
Rb Ir O
4 1 4
Cartesian
2.453 0.866 0.000
3.335 -1.748 2.842
0.866 5.949 0.000
1.748 3.335 2.842
0.000 0.000 2.842
4.767 2.338 0.000
2.338 3.635 0.000
1.863 0.566 2.842
-0.566 1.863 2.842
```

Largest 8 diffraction maxima, by angle, 5 to 70 degrees two-theta:
2theta  I (rel.)
18.85  20
28.47  100
31.47  28
33.73  41
46.80  32
54.22  18
57.16  33
58.92  17

***

Q: What is the formula in the first record?
A: Ir2PtO8